Record 1
This entry pairs a crystal structure of La4TmSb5 with its calculated powder diffractogram. Radiation: Cu Kα (λ = 1.5418 Å). Structure: a DFT-relaxed cell (GGA-PBE, Alexandria).

Crystal structure
a = 4.579 Å, b = 4.579 Å, c = 32.268 Å
α = 90.00°, β = 90.00°, γ = 90.00°
Space group I4/mmm (No. 139)
Inequivalent atoms, fractional coordinates:
La 0.000 0.000 0.099 x4
La 0.000 0.000 0.301 x4
Tm 0.000 0.000 0.500 x2
Sb 0.000 0.000 0.000 x2
Sb 0.000 0.000 0.200 x4
Sb 0.000 0.000 0.404 x4

The 10 most intense peaks (15 to 90 degrees two-theta), by angle:
2θ (°)  d (Å)  I/Imax  h k l
27.55  3.238  88  1 1 0
27.64  3.227  43  0 0 10
39.40  2.287  100  2 0 0
48.77  1.867  36  2 0 10
56.87  1.619  11  2 2 0
64.36  1.448  31  3 1 0
64.53  1.444  15  1 1 20
71.40  1.321  23  3 1 10
71.54  1.319  11  2 0 20
84.85  1.143  7  2 2 20

=====

Record 2
This entry pairs a crystal structure of La5Y3Sb8 with its calculated powder diffractogram. Radiation: Cu Kα (λ = 1.5418 Å). Structure: a DFT-relaxed cell (GGA-PBE, Alexandria).

Crystal structure
a = 9.0847 Å, b = 9.0847 Å, c = 22.2100 Å
α = 90.00°, β = 90.00°, γ = 120.00°
Space group R-3m (No. 166, hexagonal axes)
Inequivalent atoms, fractional coordinates:
La 0.0000 0.0000 0.0000 x3
La 0.0000 0.0000 0.5000 x3
La 0.0000 0.5000 0.0000 x9
Y 0.0000 0.5000 0.5000 x9
Sb 0.0000 0.0000 0.2458 x6
Sb 0.0057 0.5029 0.7529 x18

The 10 most intense peaks (15 to 90 degrees two-theta), by angle:
2θ (°)  d (Å)  I/Imax  h k l
27.79  3.210  100  0 2 4
30.35  2.945  2  2 0 5
39.71  2.270  76  2 2 0
49.16  1.853  27  4 0 4
57.42  1.605  13  0 4 8
64.96  1.436  34  2 4 4
72.04  1.311  19  6 0 0
72.16  1.309  6  0 2 16
85.51  1.136  4  4 4 0
85.65  1.134  4  4 0 16